(1)
This entry pairs a crystal structure of PmBe3Pd10 with its theoretical PXRD pattern. Radiation: copper Kα. Structure: a crystal structure in Alexandria, relaxed with GGA-PBE.
Lines closer than 0.1° are merged.

Cell and atoms:
```
data_PmBe3Pd10
_chemical_formula_sum 'Pm8 Be24 Pd80'
_symmetry_space_group_name_H-M 'F m -3 m'
_symmetry_Int_Tables_number 225
_symmetry_space_group_name_Hall '-F 4 2 3'
_cell_length_a 11.9195
_cell_length_b 11.9195
_cell_length_c 11.9195
_cell_angle_alpha 90.00
_cell_angle_beta 90.00
_cell_angle_gamma 90.00
loop_
_atom_site_label
_atom_site_fract_x
_atom_site_fract_y
_atom_site_fract_z
Pm1 0.2500 0.2500 0.2500
Be1 0.0000 0.0000 0.2292
Pd1 0.0000 0.1684 0.3316
Pd2 0.1161 0.1161 0.1161
```

Main lines, by intensity (2θ = 10–90°):
h k l	two_theta	d/Å	I_rel
3 3 3	39.3	2.294	100
4 2 0	33.6	2.665	58
5 3 1	45.0	2.015	46
4 2 2	36.9	2.433	33
6 6 0	66.6	1.405	30
4 4 0	42.9	2.107	21
8 4 4	78.6	1.217	19
6 4 4	64.5	1.445	18
6 2 2	50.8	1.797	16
9 1 1	72.2	1.308	14

(2)
This entry pairs a crystal structure of Ba3SnP3 with its theoretical PXRD pattern. Radiation: copper Kα. Structure: a crystal structure in Alexandria, relaxed with GGA-PBE.
Lines closer than 0.1° are merged.

Cell and atoms:
```
data_Ba3SnP3
_chemical_formula_sum 'Ba12 Sn4 P12'
_symmetry_space_group_name_H-M 'P 1 21/c 1'
_symmetry_Int_Tables_number 14
_symmetry_space_group_name_Hall '-P 2ybc'
_cell_length_a 8.9164
_cell_length_b 12.8917
_cell_length_c 8.6901
_cell_angle_alpha 90.00
_cell_angle_beta 114.22
_cell_angle_gamma 90.00
loop_
_atom_site_label
_atom_site_fract_x
_atom_site_fract_y
_atom_site_fract_z
Ba1 0.0055 0.1658 0.0092
Ba2 0.2287 0.5704 0.1987
Ba3 0.4452 0.2035 0.8247
Sn1 0.3348 0.5063 0.8605
P1 0.1685 0.1322 0.4340
P2 0.2550 0.6968 0.8737
P3 0.3418 0.0297 0.0791
```

Main lines, by intensity (2θ = 10–90°):
h k l	two_theta	d/Å	I_rel
2 1 1	29.3	3.047	100
2 3 -1	28.9	3.085	91
2 2 0	25.9	3.439	85
2 0 -2	24.1	3.695	67
0 3 1	23.6	3.778	56
1 1 -3	31.8	2.816	54
0 4 1	29.9	2.985	45
0 1 3	34.7	2.587	41
1 0 2	28.8	3.097	37
1 3 0	23.4	3.794	35

(3)
This entry pairs a crystal structure of Ce2Ga3Pt4Pb with its theoretical PXRD pattern. Radiation: copper Kα. Structure: a crystal structure in Alexandria, relaxed with GGA-PBE.
Lines closer than 0.1° are merged.

Cell and atoms:
```
data_Ce2Ga3Pt4Pb
_chemical_formula_sum 'Ce2 Ga3 Pt4 Pb1'
_symmetry_space_group_name_H-M 'P -4 m 2'
_symmetry_Int_Tables_number 115
_symmetry_space_group_name_Hall 'P -4 -2'
_cell_length_a 4.1839
_cell_length_b 4.1839
_cell_length_c 11.6075
_cell_angle_alpha 90.00
_cell_angle_beta 90.00
_cell_angle_gamma 90.00
loop_
_atom_site_label
_atom_site_fract_x
_atom_site_fract_y
_atom_site_fract_z
Ce1 0.0000 0.5000 0.2408
Ga1 0.0000 0.5000 0.8752
Ga2 0.5000 0.5000 0.5000
Pt1 0.0000 0.0000 0.0000
Pt2 0.0000 0.5000 0.6635
Pt3 0.5000 0.5000 0.0000
Pb1 0.0000 0.0000 0.5000
```

Main lines, by intensity (2θ = 10–90°):
h k l	two_theta	d/Å	I_rel
1 1 2	34.0	2.636	100
2 0 0	43.2	2.092	45
3 1 2	73.4	1.290	23
1 1 4	43.7	2.072	23
1 0 5	44.6	2.030	20
1 0 3	31.5	2.841	18
2 2 0	62.8	1.479	15
2 1 5	63.9	1.457	14
1 0 2	26.3	3.394	10
1 0 4	37.7	2.384	10

(4)
This entry pairs a crystal structure of CaAsH with its theoretical PXRD pattern. Radiation: copper Kα. Structure: a crystal structure in Alexandria, relaxed with GGA-PBE.
Lines closer than 0.1° are merged.

Cell and atoms:
```
data_CaAsH
_chemical_formula_sum 'Ca2 As2 H2'
_symmetry_space_group_name_H-M 'P 1 21/m 1'
_symmetry_Int_Tables_number 11
_symmetry_space_group_name_Hall '-P 2yb'
_cell_length_a 4.1543
_cell_length_b 4.5483
_cell_length_c 6.1391
_cell_angle_alpha 90.00
_cell_angle_beta 97.96
_cell_angle_gamma 90.00
loop_
_atom_site_label
_atom_site_fract_x
_atom_site_fract_y
_atom_site_fract_z
Ca1 0.2360 0.2500 0.2557
As1 0.2752 0.2500 0.7655
H1 0.0536 0.7500 0.3958
```

Main lines, by intensity (2θ = 10–90°):
h k l	two_theta	d/Å	I_rel
1 1 0	29.3	3.051	100
0 2 0	39.6	2.274	67
0 0 2	29.4	3.040	49
1 1 2	44.2	2.051	29
0 2 2	50.1	1.821	21
1 0 -1	24.4	3.645	21
1 3 0	65.6	1.423	18
1 3 -2	71.9	1.313	16
2 0 0	44.0	2.057	15
2 2 0	60.7	1.526	11

Number 3 is which compound? Ce2Ga3Pt4Pb